ThTi2H6: theoretical powder X-ray diffraction pattern (Cu Kα), based on a GGA-PBE-relaxed structure.
Lines closer than 0.1° are merged.

Most intense lines, 10° ≤ 2θ ≤ 80°, by angle:
2theta, I/Imax, hkl
16.49, 34, 1 0 0
17.70, 23, 0 0 2
24.28, 23, 1 0 2
28.76, 81, 1 1 0
31.54, 100, 1 0 3
33.97, 95, 1 1 2
34.54, 38, 2 0 1
52.73, 48, 2 1 3
54.37, 25, 3 0 2
57.35, 29, 2 0 5

Structural model:
a = 6.2087 Å, b = 6.2087 Å, c = 10.0192 Å
α = 90.00°, β = 90.00°, γ = 120.00°
Space group P6_3/mmc (No. 194)
Unique sites:
Th 0.3333 0.6667 0.0604 [4 per cell]
Ti 0.0000 0.0000 0.0000 [2 per cell]
Ti 0.1669 0.3338 0.7500 [6 per cell]
H 0.0838 0.5419 0.6474 [12 per cell]
H 0.1542 0.3085 0.5676 [12 per cell]